[1]
Starting from a crystal structure in the Materials Project, relaxed with PBE+U, the powder diffractogram of BeFe2O4 was computed for Cu Ka.
Intensities are scaled so that the largest is 100.

Top 10 peaks for 5 to 70 degrees two-theta, low angle first:
12.94 deg, I 29
20.26 deg, I 72
28.68 deg, I 31
33.11 deg, I 50
33.67 deg, I 22
34.91 deg, I 100
45.15 deg, I 31
49.88 deg, I 19
56.51 deg, I 31
60.48 deg, I 39

Cell and atoms:
Unit cell a=9.4765 b=3.0591 c=9.8851 alpha=90.00 beta=90.00 gamma=90.00
Fractional coordinates of all 28 atoms:
Be 0.1621 0.2500 0.1203
Be 0.3379 0.7500 0.6203
Be 0.6621 0.2500 0.3797
Be 0.8379 0.7500 0.8797
Fe 0.1124 0.2500 0.8073
Fe 0.1205 0.2500 0.4294
Fe 0.3795 0.7500 0.9294
Fe 0.3876 0.7500 0.3073
Fe 0.6124 0.2500 0.6927
Fe 0.6205 0.2500 0.0706
Fe 0.8795 0.7500 0.5706
Fe 0.8876 0.7500 0.1927
O 0.0019 0.2500 0.1327
O 0.0160 0.2500 0.6158
O 0.2430 0.2500 0.9832
O 0.2450 0.2500 0.2561
O 0.2550 0.7500 0.7561
O 0.2570 0.7500 0.4832
O 0.4840 0.7500 0.1158
O 0.4981 0.7500 0.6327
O 0.5019 0.2500 0.3673
O 0.5160 0.2500 0.8842
O 0.7430 0.2500 0.5168
O 0.7450 0.2500 0.2439
O 0.7550 0.7500 0.7439
O 0.7570 0.7500 0.0168
O 0.9840 0.7500 0.3842
O 0.9981 0.7500 0.8673


[2]
Starting from a crystal structure in the Materials Project, relaxed with PBE+U, the powder diffractogram of Be3Fe4Si3SO12 was computed for Cu Ka.
Intensities are scaled so that the largest is 100.

Top 10 peaks for 5 to 70 degrees two-theta, low angle first:
24.04 deg, I 7
26.38 deg, I 100
34.26 deg, I 15
40.79 deg, I 21
46.55 deg, I 45
54.30 deg, I 9
61.35 deg, I 8
63.59 deg, I 10
65.79 deg, I 8
67.96 deg, I 10

Cell and atoms:
Unit cell a=8.2766 b=8.2766 c=8.2766 alpha=90.00 beta=90.00 gamma=90.00
Fractional coordinates of all 46 atoms:
Be 0.0000 0.2500 0.5000
Be 0.0000 0.7500 0.5000
Be 0.2500 0.5000 0.0000
Be 0.5000 0.0000 0.2500
Be 0.5000 0.0000 0.7500
Be 0.7500 0.5000 0.0000
Fe 0.1668 0.1668 0.1668
Fe 0.1668 0.8332 0.8332
Fe 0.3332 0.3332 0.6668
Fe 0.3332 0.6668 0.3332
Fe 0.6668 0.3332 0.3332
Fe 0.6668 0.6668 0.6668
Fe 0.8332 0.1668 0.8332
Fe 0.8332 0.8332 0.1668
Si 0.0000 0.5000 0.2500
Si 0.0000 0.5000 0.7500
Si 0.2500 0.0000 0.5000
Si 0.5000 0.2500 0.0000
Si 0.5000 0.7500 0.0000
Si 0.7500 0.0000 0.5000
S 0.0000 0.0000 0.0000
S 0.5000 0.5000 0.5000
O 0.0881 0.3599 0.6399
O 0.0881 0.6401 0.3601
O 0.1399 0.1401 0.4119
O 0.1401 0.4119 0.1399
O 0.1401 0.5881 0.8601
O 0.1399 0.8599 0.5881
O 0.3601 0.0881 0.6401
O 0.3599 0.3601 0.9119
O 0.3599 0.6399 0.0881
O 0.3601 0.9119 0.3599
O 0.4119 0.1399 0.1401
O 0.4119 0.8601 0.8599
O 0.5881 0.1399 0.8599
O 0.5881 0.8601 0.1401
O 0.6399 0.0881 0.3599
O 0.6401 0.3601 0.0881
O 0.6401 0.6399 0.9119
O 0.6399 0.9119 0.6401
O 0.8601 0.1401 0.5881
O 0.8599 0.4119 0.8601
O 0.8599 0.5881 0.1399
O 0.8601 0.8599 0.4119
O 0.9119 0.3599 0.3601
O 0.9119 0.6401 0.6399


[3]
Starting from a crystal structure in the Materials Project, relaxed with PBE+U, the powder diffractogram of Be3Fe4Si3SO12 was computed for Cu Ka.
Intensities are scaled so that the largest is 100.

Top 10 peaks for 5 to 70 degrees two-theta, low angle first:
26.11 deg, I 35
26.34 deg, I 100
34.06 deg, I 10
34.22 deg, I 10
40.62 deg, I 8
40.78 deg, I 13
46.19 deg, I 23
46.40 deg, I 18
46.55 deg, I 24
67.68 deg, I 8

Cell and atoms:
Unit cell a=8.3062 b=8.3062 c=8.3062 alpha=89.56 beta=89.56 gamma=89.56
Fractional coordinates of all 46 atoms:
Be 0.0000 0.2509 0.7491
Be 0.2491 0.7509 0.5000
Be 0.2509 0.7491 0.0000
Be 0.5000 0.2491 0.7509
Be 0.7491 0.0000 0.2509
Be 0.7509 0.5000 0.2491
Fe 0.0791 0.4188 0.4160
Fe 0.0798 0.0798 0.0798
Fe 0.4160 0.0791 0.4188
Fe 0.4188 0.4160 0.0791
Fe 0.5791 0.9160 0.9188
Fe 0.5798 0.5798 0.5798
Fe 0.9160 0.9188 0.5791
Fe 0.9188 0.5791 0.9160
Si 0.0016 0.7458 0.2522
Si 0.2458 0.5016 0.7522
Si 0.2522 0.0016 0.7458
Si 0.5016 0.7522 0.2458
Si 0.7458 0.2522 0.0016
Si 0.7522 0.2458 0.5016
S 0.2489 0.2489 0.2489
S 0.7489 0.7489 0.7489
O 0.1052 0.3958 0.6645
O 0.1107 0.6633 0.3941
O 0.1134 0.1131 0.8374
O 0.1131 0.8374 0.1134
O 0.1633 0.6107 0.8941
O 0.1645 0.8958 0.6052
O 0.3363 0.8902 0.8890
O 0.3374 0.6131 0.6134
O 0.3890 0.3902 0.8363
O 0.3902 0.8363 0.3890
O 0.3941 0.1107 0.6633
O 0.3958 0.6645 0.1052
O 0.6052 0.1645 0.8958
O 0.6107 0.8941 0.1633
O 0.6134 0.3374 0.6131
O 0.6131 0.6134 0.3374
O 0.6633 0.3941 0.1107
O 0.6645 0.1052 0.3958
O 0.8363 0.3890 0.3902
O 0.8374 0.1134 0.1131
O 0.8890 0.3363 0.8902
O 0.8902 0.8890 0.3363
O 0.8941 0.1633 0.6107
O 0.8958 0.6052 0.1645


[4]
Starting from a crystal structure in the Materials Project, relaxed with PBE+U, the powder diffractogram of Mn4Be3Ge3SO12 was computed for Cu Ka.
Intensities are scaled so that the largest is 100.

Top 10 peaks for 5 to 70 degrees two-theta, low angle first:
23.24 deg, I 50
25.50 deg, I 100
33.10 deg, I 25
36.37 deg, I 18
37.91 deg, I 17
39.40 deg, I 34
44.94 deg, I 30
48.77 deg, I 17
58.04 deg, I 15
61.28 deg, I 19

Cell and atoms:
Unit cell a=8.5573 b=8.5573 c=8.5573 alpha=90.00 beta=90.00 gamma=90.00
Fractional coordinates of all 46 atoms:
Mn 0.1677 0.1677 0.1677
Mn 0.1677 0.8323 0.8323
Mn 0.3323 0.3323 0.6677
Mn 0.3323 0.6677 0.3323
Mn 0.6677 0.3323 0.3323
Mn 0.6677 0.6677 0.6677
Mn 0.8323 0.1677 0.8323
Mn 0.8323 0.8323 0.1677
Be 0.0000 0.2500 0.5000
Be 0.0000 0.7500 0.5000
Be 0.2500 0.5000 0.0000
Be 0.5000 0.0000 0.2500
Be 0.5000 0.0000 0.7500
Be 0.7500 0.5000 0.0000
Ge 0.0000 0.5000 0.2500
Ge 0.0000 0.5000 0.7500
Ge 0.2500 0.0000 0.5000
Ge 0.5000 0.2500 0.0000
Ge 0.5000 0.7500 0.0000
Ge 0.7500 0.0000 0.5000
S 0.0000 0.0000 0.0000
S 0.5000 0.5000 0.5000
O 0.0910 0.3541 0.6346
O 0.0910 0.6459 0.3654
O 0.1346 0.1459 0.4090
O 0.1346 0.8541 0.5910
O 0.1459 0.4090 0.1346
O 0.1459 0.5910 0.8654
O 0.3541 0.3654 0.9090
O 0.3541 0.6346 0.0910
O 0.3654 0.0910 0.6459
O 0.3654 0.9090 0.3541
O 0.4090 0.1346 0.1459
O 0.4090 0.8654 0.8541
O 0.5910 0.1346 0.8541
O 0.5910 0.8654 0.1459
O 0.6346 0.0910 0.3541
O 0.6346 0.9090 0.6459
O 0.6459 0.3654 0.0910
O 0.6459 0.6346 0.9090
O 0.8541 0.4090 0.8654
O 0.8541 0.5910 0.1346
O 0.8654 0.1459 0.5910
O 0.8654 0.8541 0.4090
O 0.9090 0.3541 0.3654
O 0.9090 0.6459 0.6346


[5]
Starting from a crystal structure in the Materials Project, relaxed with PBE+U, the powder diffractogram of Mn2BeO4 was computed for Cu Ka.
Intensities are scaled so that the largest is 100.

Top 10 peaks for 5 to 70 degrees two-theta, low angle first:
21.08 deg, I 53
25.90 deg, I 100
32.83 deg, I 65
34.95 deg, I 46
36.22 deg, I 40
36.95 deg, I 61
40.15 deg, I 26
53.25 deg, I 77
53.63 deg, I 35
58.62 deg, I 26

Cell and atoms:
Unit cell a=10.1230 b=5.9588 c=4.6344 alpha=90.00 beta=90.00 gamma=90.00
Fractional coordinates of all 28 atoms:
Mn 0.0000 0.0000 0.0000
Mn 0.0000 0.5000 0.0000
Mn 0.2251 0.2500 0.4853
Mn 0.2749 0.7500 0.9853
Mn 0.5000 0.0000 0.5000
Mn 0.5000 0.5000 0.5000
Mn 0.7251 0.2500 0.0147
Mn 0.7749 0.7500 0.5147
Be 0.0878 0.7500 0.4228
Be 0.4122 0.2500 0.9228
Be 0.5878 0.7500 0.0772
Be 0.9122 0.2500 0.5772
O 0.0627 0.2500 0.7454
O 0.0866 0.7500 0.7680
O 0.1537 0.5281 0.2573
O 0.1537 0.9719 0.2573
O 0.3463 0.0281 0.7573
O 0.3463 0.4719 0.7573
O 0.4134 0.2500 0.2680
O 0.4373 0.7500 0.2454
O 0.5627 0.2500 0.7546
O 0.5866 0.7500 0.7320
O 0.6537 0.5281 0.2427
O 0.6537 0.9719 0.2427
O 0.8463 0.0281 0.7427
O 0.8463 0.4719 0.7427
O 0.9134 0.2500 0.2320
O 0.9373 0.7500 0.2546